For As8H, the GGA-PBE geometry in Alexandria gives the calculated XRD peak list in this record (copper Kα).

Peak list (10 most intense, 2θ = 5–70°, low angle first)
2θ (°)  I_rel
18.89  100
27.26  43
28.51  26
33.35  56
33.50  44
34.30  52
37.13  16
47.56  24
49.64  17
49.80  17

Structure:
```
data_As8H
_chemical_formula_sum 'As8 H1'
_symmetry_space_group_name_H-M 'P 1'
_symmetry_Int_Tables_number 1
_cell_length_a 6.0604
_cell_length_b 6.0728
_cell_length_c 7.3329
_cell_angle_alpha 109.53
_cell_angle_beta 108.89
_cell_angle_gamma 101.53
loop_
_symmetry_equiv_pos_as_xyz
'x,y,z'
loop_
_atom_site_label
_atom_site_type_symbol
_atom_site_fract_x
_atom_site_fract_y
_atom_site_fract_z
As1 As 0.0000 0.0000 0.0000
As2 As 0.0042 0.0371 0.5157
As3 As 0.1229 0.4600 0.1927
As4 As 0.1494 0.5057 0.6581
As5 As 0.4212 0.6172 0.0400
As6 As 0.4775 0.5108 0.5160
As7 As 0.6811 0.9874 0.6704
As8 As 0.7300 0.0669 0.1920
H1 H 0.5757 0.4423 0.0181
```



For Hf3As2H2, the GGA-PBE geometry in Alexandria gives the calculated XRD peak list in this record (copper Kα).

Peak list (10 most intense, 2θ = 5–70°, low angle first)
2θ (°)  I_rel
25.28  32
27.52  53
30.90  27
31.67  76
37.04  100
37.71  67
39.73  53
40.90  26
51.33  35
64.79  19

Structure:
```
data_Hf3As2H2
_chemical_formula_sum 'Hf6 As4 H4'
_symmetry_space_group_name_H-M 'P 1'
_symmetry_Int_Tables_number 1
_cell_length_a 5.2715
_cell_length_b 6.4822
_cell_length_c 7.2650
_cell_angle_alpha 90.00
_cell_angle_beta 117.85
_cell_angle_gamma 90.00
loop_
_symmetry_equiv_pos_as_xyz
'x,y,z'
loop_
_atom_site_label
_atom_site_type_symbol
_atom_site_fract_x
_atom_site_fract_y
_atom_site_fract_z
Hf1 Hf 0.0000 0.0000 0.0000
Hf2 Hf 0.0000 0.5000 0.5000
Hf3 Hf 0.3489 0.0358 0.7363
Hf4 Hf 0.3489 0.4642 0.2363
Hf5 Hf 0.6511 0.5358 0.7637
Hf6 Hf 0.6511 0.9642 0.2637
As1 As 0.2119 0.6732 0.8837
As2 As 0.2119 0.8268 0.3837
As3 As 0.7881 0.1732 0.6163
As4 As 0.7881 0.3268 0.1163
H1 H 0.3381 0.1672 0.1710
H2 H 0.3381 0.3328 0.6710
H3 H 0.6619 0.6672 0.3290
H4 H 0.6619 0.8328 0.8290
```



For Hf4As3H4, the GGA-PBE geometry in Alexandria gives the calculated XRD peak list in this record (copper Kα).

Peak list (10 most intense, 2θ = 5–70°, low angle first)
2θ (°)  I_rel
28.48  24
28.70  78
28.92  29
33.86  71
37.03  100
38.02  27
41.03  41
48.72  22
51.92  43
52.95  29

Structure:
```
data_Hf4As3H4
_chemical_formula_sum 'Hf4 As3 H4'
_symmetry_space_group_name_H-M 'P 1'
_symmetry_Int_Tables_number 1
_cell_length_a 7.4195
_cell_length_b 7.4195
_cell_length_c 7.4195
_cell_angle_alpha 153.34
_cell_angle_beta 122.27
_cell_angle_gamma 64.69
loop_
_symmetry_equiv_pos_as_xyz
'x,y,z'
loop_
_atom_site_label
_atom_site_type_symbol
_atom_site_fract_x
_atom_site_fract_y
_atom_site_fract_z
Hf1 Hf 0.2051 0.2051 0.0000
Hf2 Hf 0.2813 0.5000 0.7813
Hf3 Hf 0.7187 0.5000 0.2187
Hf4 Hf 0.7949 0.7949 0.0000
As1 As 0.0000 0.0000 0.0000
As2 As 0.3741 0.8741 0.5000
As3 As 0.6259 0.1259 0.5000
H1 H 0.0018 0.6576 0.3442
H2 H 0.3134 0.6576 0.6558
H3 H 0.6866 0.3424 0.3442
H4 H 0.9982 0.3424 0.6558
```



For HfAsH2, the GGA-PBE geometry in Alexandria gives the calculated XRD peak list in this record (copper Kα).

Peak list (10 most intense, 2θ = 5–70°, low angle first)
2θ (°)  I_rel
11.99  32
24.10  45
27.94  30
35.09  100
35.26  33
35.90  98
43.62  20
43.80  19
56.19  23
63.93  23

Structure:
```
data_HfAsH2
_chemical_formula_sum 'Hf2 As2 H4'
_symmetry_space_group_name_H-M 'P 1'
_symmetry_Int_Tables_number 1
_cell_length_a 3.5338
_cell_length_b 3.5418
_cell_length_c 7.3843
_cell_angle_alpha 90.00
_cell_angle_beta 90.33
_cell_angle_gamma 90.00
loop_
_symmetry_equiv_pos_as_xyz
'x,y,z'
loop_
_atom_site_label
_atom_site_type_symbol
_atom_site_fract_x
_atom_site_fract_y
_atom_site_fract_z
Hf1 Hf 0.2481 0.2500 0.1689
Hf2 Hf 0.7519 0.7500 0.8311
As1 As 0.2504 0.2500 0.6889
As2 As 0.7496 0.7500 0.3111
H1 H 0.2498 0.7500 0.9995
H2 H 0.2509 0.2500 0.4585
H3 H 0.7491 0.7500 0.5415
H4 H 0.7502 0.2500 0.0005
```



For Na2HgAsH, the GGA-PBE geometry in Alexandria gives the calculated XRD peak list in this record (copper Kα).

Peak list (10 most intense, 2θ = 5–70°, low angle first)
2θ (°)  I_rel
18.34  57
20.51  26
27.64  24
29.16  39
34.66  100
37.16  21
41.71  30
45.91  23
47.92  20
57.08  27

Structure:
```
data_Na2HgAsH
_chemical_formula_sum 'Na2 Hg1 As1 H1'
_symmetry_space_group_name_H-M 'P 1'
_symmetry_Int_Tables_number 1
_cell_length_a 4.3312
_cell_length_b 4.3312
_cell_length_c 4.8385
_cell_angle_alpha 90.00
_cell_angle_beta 90.00
_cell_angle_gamma 90.00
loop_
_symmetry_equiv_pos_as_xyz
'x,y,z'
loop_
_atom_site_label
_atom_site_type_symbol
_atom_site_fract_x
_atom_site_fract_y
_atom_site_fract_z
Na1 Na 0.0000 0.5000 0.0000
Na2 Na 0.5000 0.0000 0.0000
Hg1 Hg 0.0000 0.0000 0.5000
As1 As 0.5000 0.5000 0.5000
H1 H 0.0000 0.0000 0.0000
```



For Hg3As2H2O8, the GGA-PBE geometry in Alexandria gives the calculated XRD peak list in this record (copper Kα).

Peak list (10 most intense, 2θ = 5–70°, low angle first)
2θ (°)  I_rel
16.68  34
24.01  100
26.06  55
26.81  65
27.32  25
30.81  22
32.15  57
35.15  42
42.18  36
48.62  35

Structure:
```
data_Hg3As2H2O8
_chemical_formula_sum 'Hg6 As4 H4 O16'
_symmetry_space_group_name_H-M 'P 1'
_symmetry_Int_Tables_number 1
_cell_length_a 8.0422
_cell_length_b 8.0422
_cell_length_c 9.6759
_cell_angle_alpha 120.32
_cell_angle_beta 120.32
_cell_angle_gamma 67.44
loop_
_symmetry_equiv_pos_as_xyz
'x,y,z'
loop_
_atom_site_label
_atom_site_type_symbol
_atom_site_fract_x
_atom_site_fract_y
_atom_site_fract_z
Hg1 Hg 0.2237 0.7763 0.7500
Hg2 Hg 0.2648 0.6026 0.0818
Hg3 Hg 0.3974 0.7352 0.4182
Hg4 Hg 0.6026 0.2648 0.5818
Hg5 Hg 0.7352 0.3974 0.9182
Hg6 Hg 0.7763 0.2237 0.2500
As1 As 0.1364 0.2768 0.6393
As2 As 0.2768 0.1364 0.1393
As3 As 0.7232 0.8636 0.8607
As4 As 0.8636 0.7232 0.3607
H1 H 0.1260 0.1992 0.8424
H2 H 0.1992 0.1260 0.3424
H3 H 0.8008 0.8740 0.6576
H4 H 0.8740 0.8008 0.1576
O1 O 0.1007 0.6338 0.4792
O2 O 0.1117 0.1311 0.7126
O3 O 0.1311 0.1117 0.2126
O4 O 0.1344 0.2761 0.0194
O5 O 0.2401 0.4764 0.8120
O6 O 0.2761 0.1344 0.5194
O7 O 0.3662 0.8993 0.0208
O8 O 0.4764 0.2401 0.3120
O9 O 0.5236 0.7599 0.6880
O10 O 0.6338 0.1007 0.9792
O11 O 0.7239 0.8656 0.4806
O12 O 0.7599 0.5236 0.1880
O13 O 0.8656 0.7239 0.9806
O14 O 0.8689 0.8883 0.7874
O15 O 0.8883 0.8689 0.2874
O16 O 0.8993 0.3662 0.5208
```